TbAl2: simulated PXRD pattern (Cu Kα (λ = 1.5418 Å)), based on a cell relaxed with PBE.

Cell and atoms:
```
6
Lattice="0.0000 3.9456 3.9456 3.9456 0.0000 3.9456 3.9456 3.9456 0.0000" Properties=species:S:1:pos:R:3 pbc="T T T"
Tb 0.9864 0.9864 0.9864
Tb 6.9048 6.9048 6.9048
Al 3.9456 1.9728 1.9728
Al 1.9728 3.9456 1.9728
Al 1.9728 1.9728 3.9456
Al 3.9456 3.9456 3.9456
```

Principal peaks in the range 10° ≤ 2θ ≤ 90°, sorted by position:
19.48°, 4.556 Å, I = 63.1; 32.08°, 2.790 Å, I = 100.0; 37.81°, 2.379 Å, I = 99.1; 50.41°, 1.810 Å, I = 16.4; 57.19°, 1.611 Å, I = 38.8; 61.01°, 1.519 Å, I = 32.6; 67.10°, 1.395 Å, I = 21.4; 70.62°, 1.334 Å, I = 12.0; 76.32°, 1.248 Å, I = 16.6; 79.68°, 1.203 Å, I = 11.4

***

Al3Tc: simulated PXRD pattern (Cu Kα (λ = 1.5418 Å)), based on a cell relaxed with PBE.

Cell and atoms:
```
4
Lattice="-1.9165 1.9165 4.0387 1.9165 -1.9165 4.0387 1.9165 1.9165 -4.0387" Properties=species:S:1:pos:R:3 pbc="T T T"
Al 0.0000 0.0000 0.0000
Al 1.9165 0.0000 2.0194
Al 0.0000 1.9165 2.0194
Tc 0.0000 0.0000 4.0387
```

Principal peaks in the range 10° ≤ 2θ ≤ 90°, sorted by position:
22.01°, 4.039 Å, I = 19.8; 25.73°, 3.463 Å, I = 54.0; 33.05°, 2.710 Å, I = 14.1; 40.06°, 2.251 Å, I = 100.0; 40.96°, 2.203 Å, I = 15.5; 44.89°, 2.019 Å, I = 17.9; 47.44°, 1.917 Å, I = 30.4; 54.74°, 1.677 Å, I = 13.0; 67.36°, 1.390 Å, I = 20.8; 83.22°, 1.161 Å, I = 23.0

***

Al6Tc: simulated PXRD pattern (Cu Kα (λ = 1.5418 Å)), based on a cell relaxed with PBE.

Cell and atoms:
```
14
Lattice="3.8181 -3.3029 0.0000 3.8181 3.3029 0.0000 0.0000 0.0000 9.0199" Properties=species:S:1:pos:R:3 pbc="T T T"
Al 2.4387 1.9208 2.2550
Al 3.8181 2.4212 5.4150
Al 3.8181 2.4212 8.1149
Al 2.4740 0.0000 0.0000
Al 2.4740 0.0000 4.5100
Al 5.1974 1.9208 2.2550
Al 2.4387 -1.9208 6.7650
Al 5.1621 0.0000 0.0000
Al 5.1621 0.0000 4.5100
Al 3.8181 -2.4212 0.9050
Al 3.8181 -2.4212 3.6049
Al 5.1974 -1.9208 6.7650
Tc 3.8181 0.2905 6.7650
Tc 3.8181 -0.2905 2.2550
```

Principal peaks in the range 10° ≤ 2θ ≤ 90°, sorted by position:
17.75°, 4.996 Å, I = 100.0; 19.68°, 4.510 Å, I = 44.6; 26.63°, 3.348 Å, I = 72.8; 39.22°, 2.297 Å, I = 43.5; 40.58°, 2.223 Å, I = 32.4; 41.32°, 2.185 Å, I = 81.7; 42.74°, 2.116 Å, I = 37.8; 43.04°, 2.102 Å, I = 97.7; 43.96°, 2.060 Å, I = 36.1; 44.06°, 2.055 Å, I = 63.0

***

AlTc3: simulated PXRD pattern (Cu Kα (λ = 1.5418 Å)), based on a cell relaxed with PBE.

Cell and atoms:
```
8
Lattice="5.4176 0.0000 0.0000 -2.7088 4.6918 0.0000 0.0000 0.0000 4.5650" Properties=species:S:1:pos:R:3 pbc="T T T"
Al 0.0000 3.1279 1.1413
Al 2.7088 1.5639 3.4238
Tc 0.0000 1.6034 3.4238
Tc -1.3202 3.8901 3.4238
Tc 1.3886 0.8017 1.1413
Tc 1.3202 3.8901 3.4238
Tc 4.0290 0.8017 1.1413
Tc 2.7088 3.0883 1.1413
```

Principal peaks in the range 10° ≤ 2θ ≤ 90°, sorted by position:
27.26°, 3.272 Å, I = 21.1; 33.07°, 2.709 Å, I = 7.1; 38.37°, 2.346 Å, I = 23.7; 39.48°, 2.283 Å, I = 29.3; 43.37°, 2.087 Å, I = 100.0; 56.23°, 1.636 Å, I = 15.2; 69.39°, 1.354 Å, I = 15.7; 74.30°, 1.277 Å, I = 19.5; 82.88°, 1.165 Å, I = 19.2; 85.47°, 1.136 Å, I = 13.4

***

AlTc2: simulated PXRD pattern (Cu Kα (λ = 1.5418 Å)), based on a cell relaxed with PBE.

Cell and atoms:
```
3
Lattice="-1.4959 1.4959 4.7746 1.4959 -1.4959 4.7746 1.4959 1.4959 -4.7746" Properties=species:S:1:pos:R:3 pbc="T T T"
Al 0.0000 0.0000 0.0000
Tc 0.0000 0.0000 3.1618
Tc 0.0000 0.0000 6.3874
```

Principal peaks in the range 10° ≤ 2θ ≤ 90°, sorted by position:
18.58°, 4.775 Å, I = 23.3; 31.33°, 2.855 Å, I = 21.1; 41.42°, 2.180 Å, I = 100.0; 42.74°, 2.116 Å, I = 45.7; 46.98°, 1.934 Å, I = 8.2; 57.23°, 1.610 Å, I = 5.3; 57.95°, 1.592 Å, I = 9.1; 62.04°, 1.496 Å, I = 14.7; 74.62°, 1.272 Å, I = 16.8; 77.36°, 1.233 Å, I = 30.4

***

Al7Te10: simulated PXRD pattern (Cu Kα (λ = 1.5418 Å)), based on a cell relaxed with PBE.

Cell and atoms:
```
34
Lattice="7.4084 4.2773 6.0721 -7.4084 4.2773 6.0721 0.0000 -8.5545 6.0721" Properties=species:S:1:pos:R:3 pbc="T T T"
Al 0.0000 0.0000 1.3087
Al -1.9766 -1.5158 4.9467
Al -1.3600 -4.3900 7.5786
Al -3.1219 -3.3728 10.6377
Al -3.1219 3.3728 7.5786
Al -0.3245 2.4697 4.9467
Al 2.3011 -0.9539 4.9467
Al -0.3245 -2.4697 13.2696
Al -1.9766 1.5159 13.2696
Al -1.3600 4.3900 10.6377
Al 4.4819 1.0172 7.5786
Al 4.4819 -1.0172 10.6377
Al 2.3011 0.9539 13.2696
Al 0.0000 0.0000 16.9076
Te -4.2921 -1.1204 6.0721
Te -5.5422 -2.6353 9.7719
Te -0.6907 -3.8708 5.0165
Te -3.0069 2.5336 5.0165
Te -5.5422 2.6353 8.4444
Te 0.4888 -6.1174 8.4444
Te -1.3389 -2.3191 9.1081
Te 0.0000 0.0000 6.0189
Te -4.2921 1.1204 12.1442
Te -3.0069 -2.5336 13.1998
Te -1.3389 2.3191 9.1081
Te 3.6976 1.3372 5.0165
Te 1.1757 4.2772 6.0721
Te 0.0000 0.0000 12.1974
Te 2.6779 0.0000 9.1081
Te 5.0534 -3.4820 9.7718
Te 0.4888 6.1174 9.7718
Te -0.6907 3.8708 13.1998
Te 3.6976 -1.3372 13.1998
Te 5.0534 3.4820 8.4444
```

Principal peaks in the range 10° ≤ 2θ ≤ 90°, sorted by position:
25.47°, 3.497 Å, I = 100.0; 26.87°, 3.318 Å, I = 44.8; 28.22°, 3.163 Å, I = 53.9; 36.33°, 2.473 Å, I = 10.0; 43.97°, 2.059 Å, I = 18.4; 44.06°, 2.055 Å, I = 28.1; 46.66°, 1.947 Å, I = 21.8; 47.42°, 1.917 Å, I = 13.2; 53.11°, 1.724 Å, I = 9.0; 53.91°, 1.701 Å, I = 8.2